(1)
Starting from a structure optimized by DFT (PBE+U), the powder diffractogram of CsMg6CrO8 was calculated for Cu Kα.
No peak broadening, texture or thermal motion is included.

Top 12 peaks for 2θ = 15–90°, low angle first:
two_theta  I_rel
19.33  50
19.52  27
21.68  20
27.47  21
27.61  44
33.92  58
39.24  100
39.63  44
44.15  23
56.70  30
57.00  54
71.39  26

Cell and atoms:
Unit cell a=4.5918 b=4.5918 c=9.0958 alpha=90.00 beta=90.00 gamma=90.00
Space group P4/mmm (No. 123)
Symmetry-distinct sites (fractional):
Cs1 0.0000 0.0000 0.0000 (multiplicity 1)
Mg1 0.0000 0.5000 0.2669 (multiplicity 4)
Mg2 0.5000 0.5000 0.0000 (multiplicity 1)
Mg3 0.5000 0.5000 0.5000 (multiplicity 1)
Cr1 0.0000 0.0000 0.5000 (multiplicity 1)
O1 0.0000 0.0000 0.2865 (multiplicity 2)
O2 0.0000 0.5000 0.0000 (multiplicity 2)
O3 0.0000 0.5000 0.5000 (multiplicity 2)
O4 0.5000 0.5000 0.2553 (multiplicity 2)

---

(2)
Starting from a structure optimized by DFT (PBE+U), the powder diffractogram of Li3FeP2O8 was calculated for Cu Kα.
No peak broadening, texture or thermal motion is included.

Top 12 peaks for 2θ = 15–90°, low angle first:
two_theta  I_rel
19.73  7
23.57  38
23.86  100
31.70  27
32.87  15
33.85  18
35.81  9
42.73  7
44.54  9
48.84  8
54.88  8
57.69  7

Cell and atoms:
Unit cell a=5.2955 b=7.0664 c=8.5635 alpha=85.86 beta=89.98 gamma=89.98
Space group P-1 (No. 2)
Symmetry-distinct sites (fractional):
Li1 0.2489 0.4839 0.2738 (multiplicity 2)
Li2 0.2500 0.3499 0.9846 (multiplicity 2)
Li3 0.2504 0.6997 0.6554 (multiplicity 2)
Fe1 0.2501 0.0434 0.2514 (multiplicity 2)
P1 0.2500 0.2327 0.6013 (multiplicity 2)
P2 0.2499 0.7735 0.9537 (multiplicity 2)
O1 0.0100 0.1211 0.6536 (multiplicity 2)
O2 0.0149 0.7603 0.8434 (multiplicity 2)
O3 0.2490 0.4299 0.6664 (multiplicity 2)
O4 0.2504 0.2537 0.4174 (multiplicity 2)
O5 0.2499 0.5970 0.0686 (multiplicity 2)
O6 0.2499 0.9566 0.0372 (multiplicity 2)
O7 0.4850 0.7603 0.8433 (multiplicity 2)
O8 0.4908 0.1221 0.6536 (multiplicity 2)

---

(3)
Starting from a structure optimized by DFT (PBE+U), the powder diffractogram of Sr2MgZnWO6 was calculated for Cu Kα.
No peak broadening, texture or thermal motion is included.

Top 12 peaks for 2θ = 15–90°, low angle first:
two_theta  I_rel
17.80  70
18.75  27
20.34  69
24.53  30
26.98  74
28.94  67
29.56  100
31.54  69
37.21  36
39.98  41
47.37  27
51.69  24

Cell and atoms:
Unit cell a=10.6423 b=6.1694 c=6.3965 alpha=90.00 beta=110.50 gamma=90.00
Space group Cm (No. 8)
Symmetry-distinct sites (fractional):
Sr1 0.0000 0.0000 0.0000 (multiplicity 2)
Sr2 0.1481 0.5000 0.7442 (multiplicity 2)
Mg1 0.2670 0.0000 0.7006 (multiplicity 2)
Zn1 0.3953 0.5000 0.5194 (multiplicity 2)
W1 0.4386 0.0000 0.2004 (multiplicity 2)
O1 0.0705 0.5000 0.0823 (multiplicity 2)
O2 0.0907 0.0000 0.7109 (multiplicity 2)
O3 0.3346 0.2841 0.7084 (multiplicity 4)
O4 0.3818 0.2671 0.2552 (multiplicity 4)

---

(4)
Starting from a structure optimized by DFT (PBE+U), the powder diffractogram of Ca2Nb2WO8 was calculated for Cu Kα.
No peak broadening, texture or thermal motion is included.

Top 12 peaks for 2θ = 15–90°, low angle first:
two_theta  I_rel
19.75  100
24.86  28
25.06  26
25.77  52
27.15  49
27.26  52
30.94  54
31.14  51
31.84  80
32.14  91
32.37  59
32.56  59

Cell and atoms:
Unit cell a=5.6272 b=6.3311 c=10.0838 alpha=108.02 beta=92.36 gamma=90.39
Space group P1 (No. 1)
Symmetry-distinct sites (fractional):
Ca1 0.0000 0.0000 0.0000 (multiplicity 1)
Ca2 0.0285 0.5938 0.1814 (multiplicity 1)
Ca3 0.4978 0.3677 0.0050 (multiplicity 1)
Ca4 0.5318 0.9548 0.1812 (multiplicity 1)
Nb1 0.0143 0.2214 0.3587 (multiplicity 1)
Nb2 0.0231 0.4486 0.8183 (multiplicity 1)
Nb3 0.4999 0.5022 0.3636 (multiplicity 1)
Nb4 0.5253 0.7380 0.8172 (multiplicity 1)
W1 0.0088 0.8462 0.5882 (multiplicity 1)
W2 0.5118 0.1149 0.5901 (multiplicity 1)
O1 0.0968 0.3205 0.9651 (multiplicity 1)
O2 0.1605 0.5555 0.4437 (multiplicity 1)
O3 0.1684 0.0573 0.4762 (multiplicity 1)
O4 0.2499 0.7161 0.9435 (multiplicity 1)
O5 0.2736 0.2376 0.2242 (multiplicity 1)
O6 0.3544 0.4171 0.7264 (multiplicity 1)
O7 0.3536 0.9031 0.7011 (multiplicity 1)
O8 0.4270 0.6366 0.2151 (multiplicity 1)
O9 0.5993 0.0125 0.9646 (multiplicity 1)
O10 0.6621 0.7888 0.4773 (multiplicity 1)
O11 0.6672 0.2784 0.4495 (multiplicity 1)
O12 0.7498 0.5967 0.9457 (multiplicity 1)
O13 0.7751 0.3623 0.2339 (multiplicity 1)
O14 0.8552 0.1675 0.7022 (multiplicity 1)
O15 0.8559 0.6851 0.7290 (multiplicity 1)
O16 0.9272 0.9428 0.2128 (multiplicity 1)

---

(5)
Starting from a structure optimized by DFT (PBE+U), the powder diffractogram of Fe10OF19 was calculated for Cu Kα.
No peak broadening, texture or thermal motion is included.

Top 12 peaks for 2θ = 15–90°, low angle first:
two_theta  I_rel
26.12  84
26.24  84
33.00  100
37.36  12
38.06  37
50.62  58
50.76  56
53.74  18
54.00  16
55.95  20
62.78  24
64.64  41

Cell and atoms:
Unit cell a=3.2872 b=6.8231 c=33.9620 alpha=90.00 beta=90.00 gamma=90.00
Space group Amm2 (No. 38)
Symmetry-distinct sites (fractional):
Fe1 0.0000 0.0000 0.0000 (multiplicity 2)
Fe2 0.0000 0.0000 0.1920 (multiplicity 2)
Fe3 0.0000 0.0000 0.3987 (multiplicity 2)
Fe4 0.0000 0.0000 0.5985 (multiplicity 2)
Fe5 0.0000 0.0000 0.7993 (multiplicity 2)
Fe6 0.5000 0.0000 0.1008 (multiplicity 2)
Fe7 0.5000 0.0000 0.2982 (multiplicity 2)
Fe8 0.5000 0.0000 0.4988 (multiplicity 2)
Fe9 0.5000 0.0000 0.6991 (multiplicity 2)
Fe10 0.5000 0.0000 0.8993 (multiplicity 2)
O1 0.5000 0.0000 0.1615 (multiplicity 2)
F1 0.0000 0.1998 0.2986 (multiplicity 4)
F2 0.0000 0.1998 0.4986 (multiplicity 4)
F3 0.0000 0.2000 0.8985 (multiplicity 4)
F4 0.0000 0.2009 0.0986 (multiplicity 4)
F5 0.0000 0.2053 0.7007 (multiplicity 4)
F6 0.5000 0.0000 0.0399 (multiplicity 2)
F7 0.5000 0.0000 0.2371 (multiplicity 2)
F8 0.5000 0.0000 0.3584 (multiplicity 2)
F9 0.5000 0.0000 0.4385 (multiplicity 2)
F10 0.5000 0.0000 0.5588 (multiplicity 2)
F11 0.5000 0.0000 0.6395 (multiplicity 2)
F12 0.5000 0.0000 0.7589 (multiplicity 2)
F13 0.5000 0.0000 0.8390 (multiplicity 2)
F14 0.5000 0.0000 0.9591 (multiplicity 2)

---

(6)
Starting from a structure optimized by DFT (PBE+U), the powder diffractogram of LiVSiO4 was calculated for Cu Kα.
No peak broadening, texture or thermal motion is included.

Top 12 peaks for 2θ = 15–90°, low angle first:
two_theta  I_rel
17.20  100
20.46  15
22.39  23
32.07  29
35.49  57
38.68  18
43.55  16
48.03  14
51.33  21
59.39  10
60.61  11
61.65  16

Cell and atoms:
Unit cell a=10.3109 b=6.2246 c=4.7842 alpha=90.00 beta=90.00 gamma=90.00
Space group Pnma (No. 62)
Symmetry-distinct sites (fractional):
Li1 0.2137 0.2500 0.0200 (multiplicity 4)
V1 0.0000 0.0000 0.5000 (multiplicity 4)
Si1 0.0879 0.7500 0.0814 (multiplicity 4)
O1 0.0591 0.2500 0.7602 (multiplicity 4)
O2 0.0804 0.7500 0.7369 (multiplicity 4)
O3 0.1484 0.5309 0.2221 (multiplicity 8)

---

(7)
Starting from a structure optimized by DFT (PBE+U), the powder diffractogram of NaMnO2 was calculated for Cu Kα.
No peak broadening, texture or thermal motion is included.

Top 12 peaks for 2θ = 15–90°, low angle first:
two_theta  I_rel
16.27  69
32.87  18
33.39  13
37.35  100
41.85  41
47.56  37
59.68  34
61.66  33
62.30  8
69.84  12
72.56  12
79.65  7

Cell and atoms:
Unit cell a=3.0986 b=3.0986 c=10.8981 alpha=90.00 beta=90.00 gamma=120.00
Space group P6_3/mmc (No. 194)
Symmetry-distinct sites (fractional):
Na1 0.3333 0.6667 0.2500 (multiplicity 2)
Mn1 0.0000 0.0000 0.0000 (multiplicity 2)
O1 0.3333 0.6667 0.5983 (multiplicity 4)

---

(8)
Starting from a structure optimized by DFT (PBE+U), the powder diffractogram of VN3O8 was calculated for Cu Kα.
No peak broadening, texture or thermal motion is included.

Top 12 peaks for 2θ = 15–90°, low angle first:
two_theta  I_rel
17.29  100
18.99  25
21.85  17
29.10  48
32.22  13
38.52  25
44.72  11
49.00  15
51.07  15
60.33  7
73.90  4
77.24  4

Cell and atoms:
Unit cell a=6.6098 b=6.6098 c=8.1357 alpha=90.00 beta=90.00 gamma=90.00
Space group I-42m (No. 121)
Symmetry-distinct sites (fractional):
V1 0.0000 0.0000 0.0000 (multiplicity 2)
N1 0.0000 0.0000 0.5000 (multiplicity 2)
N2 0.0000 0.5000 0.2500 (multiplicity 4)
O1 0.1637 0.1637 0.1526 (multiplicity 8)
O2 0.2073 0.2073 0.9936 (multiplicity 8)

---

(9)
Starting from a structure optimized by DFT (PBE+U), the powder diffractogram of TiFe4O8 was calculated for Cu Kα.
No peak broadening, texture or thermal motion is included.

Top 12 peaks for 2θ = 15–90°, low angle first:
two_theta  I_rel
18.50  63
30.30  59
30.90  36
35.63  18
35.78  46
35.98  100
36.19  37
36.42  21
43.86  20
58.01  30
63.01  30
63.99  32

Cell and atoms:
Unit cell a=10.0429 b=5.8908 c=5.7889 alpha=90.00 beta=124.08 gamma=90.00
Space group C2/m (No. 12)
Symmetry-distinct sites (fractional):
Ti1 0.0000 0.0000 0.0000 (multiplicity 2)
Fe1 0.1161 0.5000 0.3547 (multiplicity 4)
Fe2 0.2500 0.2500 0.0000 (multiplicity 4)
O1 0.0163 0.2386 0.7812 (multiplicity 8)
O2 0.2418 0.0000 0.2316 (multiplicity 4)
O3 0.2423 0.5000 0.2078 (multiplicity 4)

---

(10)
Starting from a structure optimized by DFT (PBE+U), the powder diffractogram of MgMn4Fe2O12 was calculated for Cu Kα.
No peak broadening, texture or thermal motion is included.

Top 12 peaks for 2θ = 15–90°, low angle first:
two_theta  I_rel
17.31  100
35.19  7
36.08  11
36.25  17
39.39  9
39.57  9
43.94  8
44.07  8
44.49  8
50.34  6
50.67  7
63.74  11

Cell and atoms:
Unit cell a=5.1002 b=5.1202 c=10.2471 alpha=89.29 beta=89.65 gamma=60.14
Space group P1 (No. 1)
Symmetry-distinct sites (fractional):
Mg1 0.0000 0.0000 0.0000 (multiplicity 1)
Mn1 0.1618 0.8394 0.7388 (multiplicity 1)
Mn2 0.4908 0.1788 0.7511 (multiplicity 1)
Mn3 0.6601 0.8423 0.2489 (multiplicity 1)
Mn4 0.9914 0.1819 0.2599 (multiplicity 1)
Fe1 0.3233 0.5102 0.2579 (multiplicity 1)
Fe2 0.8222 0.5107 0.7429 (multiplicity 1)
O1 0.1579 0.1549 0.8501 (multiplicity 1)
O2 0.1733 0.5044 0.6529 (multiplicity 1)
O3 0.3061 0.8646 0.1497 (multiplicity 1)
O4 0.3318 0.1587 0.3462 (multiplicity 1)
O5 0.4760 0.5127 0.8462 (multiplicity 1)
O6 0.4821 0.8622 0.6533 (multiplicity 1)
O7 0.6669 0.5158 0.3467 (multiplicity 1)
O8 0.6859 0.1624 0.1480 (multiplicity 1)
O9 0.8174 0.1664 0.6520 (multiplicity 1)
O10 0.8354 0.8574 0.8513 (multiplicity 1)
O11 0.9716 0.8560 0.3478 (multiplicity 1)
O12 0.9815 0.5108 0.1535 (multiplicity 1)